(1)
HoTc2O8: computed powder diffraction line list (λ = 1.5418 Å (Cu Kα)), based on the PBE geometry in Alexandria.
Intensities are scaled so that the largest is 1000.

Principal peaks in the range 5° ≤ 2θ ≤ 70°, in order of falling intensity:
| d [Å] | 2θ (°) | I (rel.) |
| --- | --- | --- |
| 3.357 | 26.56 | 1000 |
| 5.481 | 16.17 | 610 |
| 1.938 | 46.88 | 392 |
| 2.178 | 41.46 | 225 |
| 1.678 | 54.69 | 198 |
| 1.501 | 61.80 | 161 |
| 2.863 | 31.25 | 123 |
| 1.605 | 57.42 | 104 |
| 2.374 | 37.91 | 86 |
| 1.827 | 49.91 | 65 |
| 4.747 | 18.69 | 50 |
| 1.370 | 68.47 | 28 |

Structure:
```
HoTc2O8
1.0
0.0000 4.7470 4.7470
4.7470 0.0000 4.7470
4.7470 4.7470 0.0000
Ho Tc O
1 2 8
direct
0.0000 0.0000 0.0000
0.2500 0.2500 0.2500
0.7500 0.7500 0.7500
0.1432 0.1432 0.1432
0.1432 0.1432 0.5703
0.1432 0.5703 0.1432
0.4297 0.8568 0.8568
0.5703 0.1432 0.1432
0.8568 0.4297 0.8568
0.8568 0.8568 0.4297
0.8568 0.8568 0.8568
```

***

(2)
CsZnSb2: computed powder diffraction line list (λ = 1.5418 Å (Cu Kα)), based on the PBE geometry in Alexandria.
Intensities are scaled so that the largest is 1000.

Principal peaks in the range 5° ≤ 2θ ≤ 70°, in order of falling intensity:
| d [Å] | 2θ (°) | I (rel.) |
| --- | --- | --- |
| 3.537 | 25.18 | 1000 |
| 2.180 | 41.41 | 459 |
| 2.911 | 30.72 | 445 |
| 2.802 | 31.94 | 388 |
| 1.888 | 48.20 | 331 |
| 3.023 | 29.55 | 193 |
| 7.559 | 11.71 | 188 |
| 3.780 | 23.54 | 183 |
| 1.969 | 46.11 | 183 |
| 1.828 | 49.90 | 175 |
| 1.934 | 46.98 | 167 |
| 3.069 | 29.10 | 151 |

Structure:
```
CsZnSb2
1.0
0.0000 15.1187 3.0171
3.1537 0.0000 3.0171
3.1537 15.1187 0.0000
Cs Zn Sb
2 2 4
direct
0.1145 0.8855 0.1145
0.8855 0.1145 0.8855
0.2490 0.2490 0.2510
0.7490 0.7490 0.7510
0.0668 0.5183 0.9332
0.3053 0.6928 0.3072
0.5183 0.0668 0.4817
0.6928 0.3053 0.6947
```

***

(3)
CdCuF5: computed powder diffraction line list (λ = 1.5418 Å (Cu Kα)), based on the PBE geometry in Alexandria.
Intensities are scaled so that the largest is 1000.

Principal peaks in the range 5° ≤ 2θ ≤ 70°, in order of falling intensity:
| d [Å] | 2θ (°) | I (rel.) |
| --- | --- | --- |
| 3.299 | 27.03 | 1000 |
| 4.036 | 22.02 | 951 |
| 3.271 | 27.26 | 593 |
| 1.716 | 53.40 | 358 |
| 2.554 | 35.13 | 350 |
| 1.894 | 48.04 | 288 |
| 1.721 | 53.21 | 275 |
| 2.018 | 44.92 | 248 |
| 2.541 | 35.32 | 234 |
| 1.910 | 47.60 | 211 |
| 2.375 | 37.89 | 187 |
| 1.381 | 67.87 | 177 |

Structure:
```
CdCuF5
1.0
-1.9104 3.2709 4.0358
1.9104 -3.2709 4.0358
1.9104 3.2709 -4.0358
Cd Cu F
1 1 5
direct
0.0000 0.0000 0.0000
0.5000 0.5000 0.0000
0.2020 0.5000 0.7020
0.2680 0.2680 0.0000
0.5000 0.0000 0.5000
0.7320 0.7320 0.0000
0.7980 0.5000 0.2980
```

***

(4)
Ac5Cu2Sn5: computed powder diffraction line list (λ = 1.5418 Å (Cu Kα)), based on the PBE geometry in Alexandria.
Intensities are scaled so that the largest is 1000.

Principal peaks in the range 5° ≤ 2θ ≤ 70°, in order of falling intensity:
| d [Å] | 2θ (°) | I (rel.) |
| --- | --- | --- |
| 3.129 | 28.52 | 1000 |
| 2.539 | 35.34 | 674 |
| 2.988 | 29.91 | 533 |
| 2.352 | 38.26 | 420 |
| 2.922 | 30.60 | 412 |
| 2.702 | 33.15 | 377 |
| 3.558 | 25.02 | 336 |
| 2.909 | 30.74 | 315 |
| 1.848 | 49.30 | 276 |
| 1.582 | 58.31 | 241 |
| 1.774 | 51.51 | 223 |
| 2.061 | 43.93 | 201 |

Structure:
```
Ac5Cu2Sn5
1.0
8.4979 -2.3523 0.0000
8.4979 2.3523 0.0000
-8.3401 0.0000 9.5154
Ac Cu Sn
5 2 5
direct
0.0000 0.0000 0.0000
0.1094 0.1094 0.4184
0.1940 0.1940 0.8194
0.8060 0.8060 0.1806
0.8906 0.8906 0.5816
0.3556 0.3556 0.7460
0.6444 0.6444 0.2540
0.2502 0.2502 0.3182
0.4409 0.4409 0.1438
0.5000 0.5000 0.5000
0.5591 0.5591 0.8562
0.7498 0.7498 0.6818
```